# 1
# PuZr2Sc7
Simulated X-ray diffraction stick pattern, CuKα. Input: a DFT-relaxed cell (GGA-PBE, Alexandria).
Intensities are scaled so that the largest is 100.

Cell and atoms:
abc: 7.9860 3.0866 10.6766
angles: 90.00 111.70 90.00
Fractional coordinates of all 10 atoms:
Pu  0.0000  0.0000  0.0000
Zr  0.2774  0.5000  0.8933
Zr  0.7226  0.5000  0.1067
Sc  0.0986  0.5000  0.3117
Sc  0.2123  0.0000  0.6170
Sc  0.4079  0.5000  0.1926
Sc  0.5000  0.5000  0.5000
Sc  0.5921  0.5000  0.8074
Sc  0.7877  0.0000  0.3830
Sc  0.9014  0.5000  0.6883

Most intense lines, 2θ from 15° to 90°, in order of falling intensity:
d = 2.639 Å, 33.97 deg, I 100, (3 0 -1)
d = 2.675 Å, 33.51 deg, I 40, (1 0 3)
d = 2.541 Å, 35.32 deg, I 34, (2 0 -4)
d = 2.849 Å, 31.39 deg, I 28, (1 1 0)
d = 5.103 Å, 17.38 deg, I 28, (1 0 1)
d = 2.193 Å, 41.16 deg, I 25, (2 1 1)

# 2
# Pu2Zr5Sc2
Simulated X-ray diffraction stick pattern, CuKα. Input: a DFT-relaxed cell (GGA-PBE, Alexandria).
Intensities are scaled so that the largest is 100.

Cell and atoms:
abc: 3.2302 5.8630 11.9454
angles: 85.00 85.44 77.19
Fractional coordinates of all 9 atoms:
Pu  0.2215  0.3614  0.1150
Pu  0.7785  0.6386  0.8850
Zr  0.0000  0.5000  0.5000
Zr  0.1584  0.0907  0.8882
Zr  0.4761  0.6184  0.2920
Zr  0.5239  0.3816  0.7080
Zr  0.8416  0.9093  0.1118
Sc  0.2468  0.9269  0.6242
Sc  0.7532  0.0731  0.3758

Most intense lines, 2θ from 15° to 90°, in order of falling intensity:
d = 2.538 Å, 35.37 deg, I 100, (1 1 3)
d = 2.645 Å, 33.89 deg, I 76, (0 2 2)
d = 2.485 Å, 36.15 deg, I 72, (1 -1 1)
d = 5.702 Å, 15.54 deg, I 54, (0 1 0)
d = 2.375 Å, 37.88 deg, I 47, (0 0 5)
d = 2.710 Å, 33.05 deg, I 46, (1 0 -2)

# 3
# PuSe2
Simulated X-ray diffraction stick pattern, CuKα. Input: a DFT-relaxed cell (GGA-PBE, Alexandria).
Intensities are scaled so that the largest is 100.

Cell and atoms:
abc: 6.9198 7.8005 5.5367
angles: 90.00 90.00 90.00
Fractional coordinates of all 12 atoms:
Pu  0.2478  0.0558  0.2500
Pu  0.2478  0.4442  0.7500
Pu  0.7522  0.5558  0.2500
Pu  0.7522  0.9442  0.7500
Se  0.0740  0.7500  0.0000
Se  0.0740  0.7500  0.5000
Se  0.3745  0.0943  0.7500
Se  0.3745  0.4057  0.2500
Se  0.6255  0.5943  0.7500
Se  0.6255  0.9057  0.2500
Se  0.9260  0.2500  0.0000
Se  0.9260  0.2500  0.5000

Most intense lines, 2θ from 15° to 90°, in order of falling intensity:
d = 3.781 Å, 23.53 deg, I 100, (1 1 1)
d = 2.054 Å, 44.09 deg, I 47, (3 1 1)
d = 2.434 Å, 36.93 deg, I 47, (1 3 0)
d = 2.257 Å, 39.94 deg, I 36, (0 2 2)
d = 2.588 Å, 34.66 deg, I 33, (2 2 0)
d = 2.162 Å, 41.79 deg, I 31, (2 0 2)

What did the second record say?
# Pu2Zr5Sc2
Simulated X-ray diffraction stick pattern, CuKα. Input: a DFT-relaxed cell (GGA-PBE, Alexandria).
Intensities are scaled so that the largest is 100.

Cell and atoms:
abc: 3.2302 5.8630 11.9454
angles: 85.00 85.44 77.19
Fractional coordinates of all 9 atoms:
Pu  0.2215  0.3614  0.1150
Pu  0.7785  0.6386  0.8850
Zr  0.0000  0.5000  0.5000
Zr  0.1584  0.0907  0.8882
Zr  0.4761  0.6184  0.2920
Zr  0.5239  0.3816  0.7080
Zr  0.8416  0.9093  0.1118
Sc  0.2468  0.9269  0.6242
Sc  0.7532  0.0731  0.3758

Most intense lines, 2θ from 15° to 90°, in order of falling intensity:
d = 2.538 Å, 35.37 deg, I 100, (1 1 3)
d = 2.645 Å, 33.89 deg, I 76, (0 2 2)
d = 2.485 Å, 36.15 deg, I 72, (1 -1 1)
d = 5.702 Å, 15.54 deg, I 54, (0 1 0)
d = 2.375 Å, 37.88 deg, I 47, (0 0 5)
d = 2.710 Å, 33.05 deg, I 46, (1 0 -2)